# 1
The following is a simulated PXRD pattern of Pr2Al2CuNi. It was derived from a crystal structure in the Materials Project, relaxed with PBE, using Cu Kα X-rays.
Neutral-atom scattering factors, no anomalous dispersion.

Atomic structure:
```
Pr2Al2CuNi
1.0
7.1728 0.0000 0.0000
0.0000 4.2399 0.0000
-0.0232 0.0000 12.0796
Pr Al Cu Ni
6 6 3 3
Cartesian
0.0000 0.0000 0.0000 Pr
0.0353 0.0000 4.9787 Pr
2.6845 0.0000 2.5473 Pr
3.5133 0.0000 5.9992 Pr
3.5503 0.0000 11.0403 Pr
6.2893 0.0000 8.5187 Pr
0.1035 2.1200 2.5217 Al
1.2700 2.1200 9.8760 Al
1.2898 2.1200 7.1637 Al
3.6670 2.1200 8.5325 Al
4.8511 2.1200 3.8494 Al
4.8703 2.1200 1.1591 Al
2.0898 2.1200 0.4932 Cu
5.6414 2.1200 6.4967 Cu
5.6419 2.1200 10.5543 Cu
2.0621 2.1200 4.5278 Ni
2.0772 0.0000 8.5365 Ni
5.6771 0.0000 2.4962 Ni
```

The 8 most intense peaks (2θ = 10–80°), low angle first:
2theta, d_spacing, intensity
20.95, 4.240, 38
25.37, 3.511, 33
28.95, 3.084, 29
32.70, 2.738, 53
33.13, 2.704, 99
36.01, 2.494, 100
36.53, 2.460, 47
42.65, 2.120, 41


# 2
The following is a simulated PXRD pattern of NpAl8Cu4. It was derived from a crystal structure in the Materials Project, relaxed with PBE, using Cu Kα X-rays.
Neutral-atom scattering factors, no anomalous dispersion.

Atomic structure:
```
NpAl8Cu4
1.0
-4.4072 4.4072 2.5408
4.4072 -4.4072 2.5408
4.4072 4.4072 -2.5408
Np Al Cu
1 8 4
Cartesian
0.0000 0.0000 0.0000 Np
3.0438 0.0000 0.0000 Al
5.7705 0.0000 0.0000 Al
4.4072 2.4953 0.0000 Al
0.0000 3.0438 0.0000 Al
2.4953 4.4072 0.0000 Al
1.9118 0.0000 2.5408 Al
0.0000 5.7705 0.0000 Al
0.0000 1.9118 2.5408 Al
2.2036 2.2036 -1.2704 Cu
2.2036 -2.2036 1.2704 Cu
-2.2036 2.2036 1.2704 Cu
2.2036 2.2036 1.2704 Cu
```

The 8 most intense peaks (2θ = 10–80°), low angle first:
2theta, d_spacing, intensity
14.21, 6.233, 32
20.17, 4.402, 29
28.65, 3.115, 59
35.29, 2.543, 22
40.98, 2.202, 100
59.34, 1.557, 32
67.20, 1.393, 19
74.62, 1.272, 16


# 3
The following is a simulated PXRD pattern of Al10Cu6O21. It was derived from a crystal structure in the Materials Project, relaxed with PBE, using Cu Kα X-rays.
Neutral-atom scattering factors, no anomalous dispersion.

Atomic structure:
```
Al10Cu6O21
1.0
5.2444 -2.9250 0.0000
5.2444 2.9250 0.0000
-1.2483 0.0000 14.2991
Al Cu O
10 6 21
Cartesian
0.0000 0.0000 0.0000 Al
4.2313 1.4771 2.5408 Al
2.6310 0.0000 4.6519 Al
5.0718 1.4677 11.8427 Al
4.6150 0.0000 7.3247 Al
7.2031 1.4201 7.2890 Al
4.2313 -1.4771 2.5408 Al
5.0718 -1.4677 11.8427 Al
7.7265 0.0000 11.7157 Al
7.2031 -1.4201 7.2890 Al
-0.7131 0.0000 9.3697 Cu
2.3898 0.0000 0.4968 Cu
2.7475 0.0000 10.0182 Cu
7.2387 0.0000 0.3752 Cu
7.0060 0.0000 3.0483 Cu
9.8865 0.0000 5.5600 Cu
2.6759 1.5028 1.6220 O
2.0408 1.4047 9.0160 O
3.5309 1.4655 4.1626 O
0.9139 0.0000 4.3872 O
0.4888 0.0000 11.0930 O
3.3899 1.4515 11.3235 O
5.0906 1.6005 13.6672 O
2.8509 0.0000 6.5611 O
5.5075 1.4217 6.7801 O
4.4243 0.0000 9.0520 O
2.0408 -1.4047 9.0160 O
5.1518 0.0000 2.2271 O
2.6759 -1.5028 1.6220 O
3.5309 -1.4655 4.1626 O
5.9695 0.0000 11.4763 O
3.3899 -1.4515 11.3235 O
5.5075 -1.4217 6.7801 O
8.0997 0.0000 6.7032 O
7.7419 0.0000 13.4792 O
5.0906 -1.6005 13.6672 O
10.2479 0.0000 1.7820 O
```

The 8 most intense peaks (2θ = 10–80°), low angle first:
2theta, d_spacing, intensity
17.56, 5.051, 33
20.16, 4.405, 34
25.01, 3.560, 40
29.86, 2.992, 35
34.37, 2.609, 43
36.02, 2.494, 100
36.64, 2.452, 32
37.71, 2.385, 49


# 4
The following is a simulated PXRD pattern of AlCu7O12. It was derived from a crystal structure in the Materials Project, relaxed with PBE, using Cu Kα X-rays.
Neutral-atom scattering factors, no anomalous dispersion.

Atomic structure:
```
AlCu7O12
1.0
-3.6190 3.6190 3.6190
3.6190 -3.6190 3.6190
3.6190 3.6190 -3.6190
Al Cu O
1 7 12
Cartesian
0.0000 0.0000 0.0000 Al
1.8095 1.8095 -1.8095 Cu
1.8095 -1.8095 1.8095 Cu
3.6190 0.0000 0.0000 Cu
-1.8095 1.8095 1.8095 Cu
0.0000 3.6190 0.0000 Cu
0.0000 0.0000 3.6190 Cu
1.8095 1.8095 1.8095 Cu
3.6190 -1.4528 2.4174 O
2.1661 1.2015 0.0000 O
5.0718 1.2015 0.0000 O
2.4174 3.6190 -1.4528 O
1.2015 0.0000 2.1661 O
0.0000 2.1661 1.2015 O
3.6190 1.4528 2.4174 O
2.4174 3.6190 1.4528 O
1.2015 0.0000 5.0718 O
-1.4528 2.4174 3.6190 O
1.4528 2.4174 3.6190 O
0.0000 5.0718 1.2015 O
```

The 8 most intense peaks (2θ = 10–80°), low angle first:
2theta, d_spacing, intensity
17.33, 5.118, 4
30.25, 2.955, 7
35.07, 2.559, 100
39.37, 2.289, 5
46.97, 1.934, 3
50.43, 1.809, 26
62.91, 1.477, 48
74.10, 1.280, 12


# 5
The following is a simulated PXRD pattern of AlCu3O6. It was derived from a crystal structure in the Materials Project, relaxed with PBE, using Cu Kα X-rays.
Neutral-atom scattering factors, no anomalous dispersion.

Atomic structure:
```
AlCu3O6
1.0
5.7253 -1.4230 0.0000
5.7253 1.4230 0.0000
-4.5558 0.0000 8.1552
Al Cu O
1 3 6
Cartesian
0.0000 0.0000 0.0000 Al
-2.2779 0.0000 4.0776 Cu
3.0435 0.0000 1.1931 Cu
3.8513 0.0000 6.9620 Cu
-0.5885 0.0000 3.8099 O
1.3155 0.0000 1.3569 O
4.7882 0.0000 0.8345 O
2.1066 0.0000 7.3207 O
5.5793 0.0000 6.7983 O
7.4833 0.0000 4.3453 O
```

The 8 most intense peaks (2θ = 10–80°), low angle first:
2theta, d_spacing, intensity
10.85, 8.155, 37
15.64, 5.667, 100
31.57, 2.834, 23
32.95, 2.718, 50
34.51, 2.599, 45
35.98, 2.496, 86
37.03, 2.428, 82
56.34, 1.633, 25


# 6
The following is a simulated PXRD pattern of AlCu3O6. It was derived from a crystal structure in the Materials Project, relaxed with PBE, using Cu Kα X-rays.
Neutral-atom scattering factors, no anomalous dispersion.

Atomic structure:
```
AlCu3O6
1.0
2.8555 0.0000 0.0000
0.0000 11.2289 0.0000
-1.3966 0.0000 8.3365
Al Cu O
2 6 12
Cartesian
0.0097 0.0000 2.7537 Al
1.4492 5.6144 5.5828 Al
0.0213 8.3866 0.9004 Cu
0.0286 2.8251 4.5464 Cu
0.0621 8.4512 6.4139 Cu
1.3967 2.8368 1.9226 Cu
1.4303 8.4396 3.7900 Cu
1.4376 2.7722 7.4360 Cu
-0.0400 6.6927 0.8404 O
0.0214 10.1449 1.2208 O
0.0105 1.1212 4.2815 O
0.0114 4.5589 4.9091 O
0.0125 6.6531 6.2387 O
0.0386 10.1120 6.5196 O
1.4203 4.4975 1.8168 O
1.4464 1.0386 2.0977 O
1.4475 10.1733 3.4274 O
1.4484 6.7356 4.0549 O
1.4375 4.5304 7.1157 O
1.4989 1.0782 7.4960 O
```

The 8 most intense peaks (2θ = 10–80°), low angle first:
2theta, d_spacing, intensity
13.23, 6.693, 19
15.78, 5.614, 100
31.88, 2.807, 23
33.21, 2.697, 82
36.21, 2.481, 70
36.32, 2.474, 65
54.54, 1.682, 26
59.58, 1.552, 19